No. 1
This entry pairs a crystal structure of Y3Mg3AlAg2 with its simulated X-ray powder pattern. Radiation: Cu Kα (λ = 1.5418 Å). Structure: a structure optimized by DFT (PBE).

The 12 most intense peaks (15 to 90 degrees two-theta), sorted by position:
| hkl | Position (°2θ) | I (rel.) |
| --- | --- | --- |
| 1 1 0 | 23.18 | 24 |
| 1 1 1 | 31.68 | 100 |
| 2 0 1 | 34.50 | 67 |
| 2 1 0 | 35.75 | 27 |
| 3 0 0 | 40.74 | 27 |
| 2 1 1 | 41.98 | 16 |
| 0 0 2 | 43.35 | 19 |
| 3 1 0 | 49.45 | 16 |
| 3 1 1 | 54.42 | 14 |
| 2 1 2 | 57.40 | 13 |
| 3 0 2 | 60.99 | 15 |
| 3 2 1 | 65.14 | 16 |

Atomic structure:
```
data_Y3Mg3AlAg2
_chemical_formula_sum 'Y3 Mg3 Al1 Ag2'
_space_group_name_H-M_alt 'P -6 2 m'
_space_group_IT_number 189
_space_group_name_Hall 'P -6 -2'
_cell_length_a 7.6730
_cell_length_b 7.6730
_cell_length_c 4.1745
_cell_angle_alpha 90.00
_cell_angle_beta 90.00
_cell_angle_gamma 120.00
loop_
_atom_site_label
_atom_site_type_symbol
_atom_site_fract_x
_atom_site_fract_y
_atom_site_fract_z
Y1 Y 0.0000 0.5879 0.0000
Mg1 Mg 0.0000 0.2469 0.5000
Al1 Al 0.0000 0.0000 0.0000
Ag1 Ag 0.3333 0.6667 0.5000
```

---

No. 2
This entry pairs a crystal structure of Dy4Er3Co2Te2 with its simulated X-ray powder pattern. Radiation: Cu Kα (λ = 1.5418 Å). Structure: a structure optimized by DFT (PBE).

The 12 most intense peaks (15 to 90 degrees two-theta), sorted by position:
| hkl | Position (°2θ) | I (rel.) |
| --- | --- | --- |
| 1 3 0 | 29.04 | 23 |
| 0 5 1 | 30.19 | 23 |
| 1 1 2 | 30.64 | 51 |
| 0 3 3 | 33.22 | 82 |
| 1 4 1 | 34.23 | 100 |
| 0 6 0 | 34.54 | 26 |
| 1 3 2 | 34.79 | 51 |
| 1 0 3 | 36.96 | 23 |
| 1 2 3 | 38.79 | 19 |
| 2 0 0 | 47.67 | 29 |
| 1 7 2 | 51.30 | 24 |
| 2 3 3 | 59.34 | 31 |

Atomic structure:
```
data_Dy4Er3Co2Te2
_chemical_formula_sum 'Dy8 Er6 Co4 Te4'
_space_group_name_H-M_alt 'I m m 2'
_space_group_IT_number 44
_cell_length_a 3.8154
_cell_length_b 15.5828
_cell_length_c 9.4679
_cell_angle_alpha 90.00
_cell_angle_beta 90.00
_cell_angle_gamma 90.00
loop_
_space_group_symop_operation_xyz
'x,y,z'
'-x,-y,z'
'-x,y,z'
'x,-y,z'
'x+1/2,y+1/2,z+1/2'
'-x+1/2,-y+1/2,z+1/2'
'-x+1/2,y+1/2,z+1/2'
'x+1/2,-y+1/2,z+1/2'
loop_
_atom_site_label
_atom_site_type_symbol
_atom_site_fract_x
_atom_site_fract_y
_atom_site_fract_z
Dy1 Dy 0.0000 0.1339 0.0000
Dy2 Dy 0.0000 0.3525 0.1463
Er1 Er 0.0000 0.0000 0.4172
Er2 Er 0.0000 0.3145 0.7963
Co1 Co 0.0000 0.2370 0.4888
Te1 Te 0.0000 0.0000 0.7540
Te2 Te 0.0000 0.5000 0.6538
```

---

No. 3
This entry pairs a crystal structure of ZnMo4N3 with its simulated X-ray powder pattern. Radiation: Cu Kα (λ = 1.5418 Å). Structure: a structure optimized by DFT (PBE).

The 12 most intense peaks (15 to 90 degrees two-theta), sorted by position:
| hkl | Position (°2θ) | I (rel.) |
| --- | --- | --- |
| 0 0 8 | 27.21 | 16 |
| 0 0 10 | 34.21 | 39 |
| 1 0 1 | 36.78 | 18 |
| 1 0 2 | 37.28 | 24 |
| 1 0 4 | 39.20 | 25 |
| 1 0 5 | 40.59 | 71 |
| 1 0 6 | 42.24 | 100 |
| 1 0 11 | 53.60 | 20 |
| 1 0 12 | 56.39 | 23 |
| 1 1 0 | 65.92 | 35 |
| 1 1 10 | 76.41 | 23 |
| 2 0 6 | 81.47 | 14 |

Atomic structure:
```
data_ZnMo4N3
_chemical_formula_sum 'Zn2 Mo8 N6'
_space_group_name_H-M_alt 'P 63/m m c'
_space_group_IT_number 194
_space_group_name_Hall '-P 6c 2c'
_cell_length_a 2.8338
_cell_length_b 2.8338
_cell_length_c 26.2144
_cell_angle_alpha 90.00
_cell_angle_beta 90.00
_cell_angle_gamma 120.00
loop_
_atom_site_label
_atom_site_type_symbol
_atom_site_fract_x
_atom_site_fract_y
_atom_site_fract_z
Zn1 Zn 0.3333 0.6667 0.2500
Mo1 Mo 0.0000 0.0000 0.1649
Mo2 Mo 0.3333 0.6667 0.0556
N1 N 0.0000 0.0000 0.0000
N2 N 0.3333 0.6667 0.6122
```

---

No. 4
This entry pairs a crystal structure of ErTm2Fe2B2N3 with its simulated X-ray powder pattern. Radiation: Cu Kα (λ = 1.5418 Å). Structure: a structure optimized by DFT (PBE).

The 12 most intense peaks (15 to 90 degrees two-theta), sorted by position:
| hkl | Position (°2θ) | I (rel.) |
| --- | --- | --- |
| 1 0 3 | 29.43 | 100 |
| 1 0 5 | 34.47 | 95 |
| 0 0 8 | 35.51 | 54 |
| 1 1 0 | 37.42 | 44 |
| 1 1 2 | 38.50 | 40 |
| 1 1 4 | 41.61 | 31 |
| 1 1 8 | 52.54 | 28 |
| 2 0 0 | 53.96 | 35 |
| 1 1 10 | 59.76 | 18 |
| 2 1 3 | 62.65 | 26 |
| 2 1 5 | 65.61 | 31 |
| 2 0 8 | 66.27 | 33 |

Atomic structure:
```
data_ErTm2Fe2B2N3
_chemical_formula_sum 'Er2 Tm4 Fe4 B4 N6'
_space_group_name_H-M_alt 'I 4/m m m'
_space_group_IT_number 139
_space_group_name_Hall '-I 4 2'
_cell_length_a 3.3988
_cell_length_b 3.3988
_cell_length_c 20.2257
_cell_angle_alpha 90.00
_cell_angle_beta 90.00
_cell_angle_gamma 90.00
loop_
_atom_site_label
_atom_site_type_symbol
_atom_site_fract_x
_atom_site_fract_y
_atom_site_fract_z
Er1 Er 0.0000 0.0000 0.0000
Tm1 Tm 0.0000 0.0000 0.3789
Fe1 Fe 0.0000 0.5000 0.2500
B1 B 0.0000 0.0000 0.1871
N1 N 0.0000 0.0000 0.1136
N2 N 0.0000 0.0000 0.5000
```

---

No. 5
This entry pairs a crystal structure of U with its simulated X-ray powder pattern. Radiation: Cu Kα (λ = 1.5418 Å). Structure: a structure optimized by DFT (PBE).

The 12 most intense peaks (15 to 90 degrees two-theta), sorted by position:
| hkl | Position (°2θ) | I (rel.) |
| --- | --- | --- |
| 0 0 4 | 33.18 | 51 |
| 1 0 1 | 34.18 | 100 |
| 1 0 3 | 41.78 | 48 |
| 1 1 0 | 47.56 | 39 |
| 1 0 5 | 54.36 | 32 |
| 1 1 4 | 59.21 | 41 |
| 2 0 0 | 69.53 | 13 |
| 2 0 4 | 79.24 | 19 |
| 2 1 1 | 79.81 | 19 |
| 2 1 3 | 84.52 | 14 |
| 1 1 8 | 88.69 | 14 |
| 1 0 9 | 89.30 | 10 |

Atomic structure:
```
data_U
_chemical_formula_sum 'U4'
_space_group_name_H-M_alt 'I 4/m m m'
_space_group_IT_number 139
_space_group_name_Hall '-I 4 2'
_cell_length_a 2.7040
_cell_length_b 2.7040
_cell_length_c 10.8010
_cell_angle_alpha 90.00
_cell_angle_beta 90.00
_cell_angle_gamma 90.00
loop_
_atom_site_label
_atom_site_type_symbol
_atom_site_fract_x
_atom_site_fract_y
_atom_site_fract_z
U1 U 0.0000 0.0000 0.1213
```

---

No. 6
This entry pairs a crystal structure of LaSmBr3N with its simulated X-ray powder pattern. Radiation: Cu Kα (λ = 1.5418 Å). Structure: a structure optimized by DFT (PBE).

The 12 most intense peaks (15 to 90 degrees two-theta), sorted by position:
| hkl | Position (°2θ) | I (rel.) |
| --- | --- | --- |
| 1 1 1 | 25.52 | 75 |
| 1 1 -2 | 26.89 | 73 |
| 4 0 -4 | 30.11 | 46 |
| 6 0 -1 | 30.40 | 66 |
| 1 1 2 | 30.96 | 100 |
| 5 1 -2 | 32.58 | 33 |
| 5 1 -3 | 34.41 | 47 |
| 3 1 -4 | 37.52 | 37 |
| 6 0 -5 | 38.92 | 28 |
| 7 1 -3 | 40.66 | 52 |
| 5 1 1 | 41.40 | 50 |
| 0 2 0 | 44.59 | 41 |

Atomic structure:
```
data_LaSmBr3N
_chemical_formula_sum 'La4 Sm4 Br12 N4'
_space_group_name_H-M_alt 'C 1 2/m 1'
_space_group_IT_number 12
_cell_length_a 18.7195
_cell_length_b 4.0638
_cell_length_c 11.9267
_cell_angle_alpha 90.00
_cell_angle_beta 123.83
_cell_angle_gamma 90.00
loop_
_space_group_symop_operation_xyz
'x,y,z'
'-x,-y,-z'
'-x,y,-z'
'x,-y,z'
'x+1/2,y+1/2,z'
'-x+1/2,-y+1/2,-z'
'-x+1/2,y+1/2,-z'
'x+1/2,-y+1/2,z'
loop_
_atom_site_label
_atom_site_type_symbol
_atom_site_fract_x
_atom_site_fract_y
_atom_site_fract_z
La1 La 0.1358 0.0000 0.2854
Sm1 Sm 0.0752 0.5000 0.9591
Br1 Br 0.0412 0.0000 0.7546
Br2 Br 0.1656 0.5000 0.5097
Br3 Br 0.2124 0.0000 0.1131
N1 N 0.0726 0.5000 0.1506
```

---

Repeat the fifth record exactly.
This entry pairs a crystal structure of U with its simulated X-ray powder pattern. Radiation: Cu Kα (λ = 1.5418 Å). Structure: a structure optimized by DFT (PBE).

The 12 most intense peaks (15 to 90 degrees two-theta), sorted by position:
| hkl | Position (°2θ) | I (rel.) |
| --- | --- | --- |
| 0 0 4 | 33.18 | 51 |
| 1 0 1 | 34.18 | 100 |
| 1 0 3 | 41.78 | 48 |
| 1 1 0 | 47.56 | 39 |
| 1 0 5 | 54.36 | 32 |
| 1 1 4 | 59.21 | 41 |
| 2 0 0 | 69.53 | 13 |
| 2 0 4 | 79.24 | 19 |
| 2 1 1 | 79.81 | 19 |
| 2 1 3 | 84.52 | 14 |
| 1 1 8 | 88.69 | 14 |
| 1 0 9 | 89.30 | 10 |

Atomic structure:
```
data_U
_chemical_formula_sum 'U4'
_space_group_name_H-M_alt 'I 4/m m m'
_space_group_IT_number 139
_space_group_name_Hall '-I 4 2'
_cell_length_a 2.7040
_cell_length_b 2.7040
_cell_length_c 10.8010
_cell_angle_alpha 90.00
_cell_angle_beta 90.00
_cell_angle_gamma 90.00
loop_
_atom_site_label
_atom_site_type_symbol
_atom_site_fract_x
_atom_site_fract_y
_atom_site_fract_z
U1 U 0.0000 0.0000 0.1213
```